Entry 1:
Diffraction record for Sc3Rh. The X-ray diffraction stick pattern is calculated, not measured: it uses a DFT-relaxed cell (GGA-PBE, Alexandria) and CuKα.

Principal peaks in the range 2θ = 10–90°, by intensity:
d (Å)  I/Imax  h k l
2.219  100  1 3 2
2.408  84  2 4 0
3.962  62  2 0 1
2.731  51  1 1 2
7.615  35  1 1 0
2.329  29  3 3 1
2.112  28  5 1 0
4.639  27  1 1 1

Structural model:
```
data_Sc3Rh
_chemical_formula_sum 'Sc24 Rh8'
_space_group_name_H-M_alt 'P 42/n'
_space_group_IT_number 86
_cell_length_a 10.769
_cell_length_b 10.769
_cell_length_c 5.851
_cell_angle_alpha 90.00
_cell_angle_beta 90.00
_cell_angle_gamma 90.00
loop_
_space_group_symop_operation_xyz
'x,y,z'
'-x,-y,-z'
'-y,x+1/2,z+1/2'
'y,-x+1/2,-z+1/2'
'-x+1/2,-y+1/2,z'
'x+1/2,y+1/2,-z'
'y+1/2,-x,z+1/2'
'-y+1/2,x,-z+1/2'
loop_
_atom_site_label
_atom_site_type_symbol
_atom_site_fract_x
_atom_site_fract_y
_atom_site_fract_z
Sc1 Sc 0.038 0.593 0.208
Sc2 Sc 0.113 0.193 0.025
Sc3 Sc 0.118 0.663 0.698
Rh1 Rh 0.055 0.185 0.518
```

Entry 2:
Diffraction record for ZnSn2O4. The X-ray diffraction stick pattern is calculated, not measured: it uses a DFT-relaxed cell (GGA-PBE, Alexandria) and CuKα.

Principal peaks in the range 2θ = 10–90°, by intensity:
d (Å)  I/Imax  h k l
5.628  100  0 0 2
7.405  99  0 1 0
6.186  76  0 1 1
2.667  64  2 1 0
2.633  55  0 2 3
2.451  51  2 1 -4
2.863  45  2 1 -2
1.553  41  4 0 -4

Structural model:
```
data_ZnSn2O4
_chemical_formula_sum 'Zn4 Sn8 O16'
_space_group_name_H-M_alt 'P 1 2/c 1'
_space_group_IT_number 13
_cell_length_a 6.251
_cell_length_b 7.405
_cell_length_c 12.303
_cell_angle_alpha 90.00
_cell_angle_beta 113.82
_cell_angle_gamma 90.00
loop_
_space_group_symop_operation_xyz
'x,y,z'
'-x,-y,-z'
'-x,y,-z+1/2'
'x,-y,z+1/2'
loop_
_atom_site_label
_atom_site_type_symbol
_atom_site_fract_x
_atom_site_fract_y
_atom_site_fract_z
Zn1 Zn 0.000 0.026 0.250
Zn2 Zn 0.500 0.223 0.250
Sn1 Sn 0.000 0.000 0.000
Sn2 Sn 0.193 0.375 0.441
Sn3 Sn 0.500 0.000 0.000
O1 O 0.107 0.192 0.141
O2 O 0.172 0.113 0.900
O3 O 0.305 0.159 0.572
O4 O 0.418 0.222 0.382
```

Entry 3:
Diffraction record for K3TiTe4. The X-ray diffraction stick pattern is calculated, not measured: it uses a DFT-relaxed cell (GGA-PBE, Alexandria) and CuKα.

Principal peaks in the range 2θ = 10–90°, by intensity:
d (Å)  I/Imax  h k l
4.057  100  3 1 0
3.592  73  0 2 0
2.873  49  3 1 -2
2.892  46  1 1 -2
7.374  43  2 0 0
2.633  31  4 2 -1
4.796  31  1 1 -1
3.872  30  4 0 -1

Structural model:
```
data_K3TiTe4
_chemical_formula_sum 'K6 Ti2 Te8'
_space_group_name_H-M_alt 'C 1 2 1'
_space_group_IT_number 5
_cell_length_a 15.983
_cell_length_b 7.183
_cell_length_c 6.443
_cell_angle_alpha 90.00
_cell_angle_beta 112.66
_cell_angle_gamma 90.00
loop_
_space_group_symop_operation_xyz
'x,y,z'
'-x,y,-z'
'x+1/2,y+1/2,z'
'-x+1/2,y+1/2,-z'
loop_
_atom_site_label
_atom_site_type_symbol
_atom_site_fract_x
_atom_site_fract_y
_atom_site_fract_z
K1 K 0.000 0.000 0.000
K2 K 0.214 0.398 0.715
Ti1 Ti 0.000 0.725 0.500
Te1 Te 0.003 0.451 0.238
Te2 Te 0.152 0.914 0.656
```